For TiBi8WCl2O16, a DFT-relaxed cell (PBE+U, Alexandria) gives the simulated X-ray diffraction stick pattern in this record (Cu Kα, 1.54184 Å).
Lines closer than 0.1° are merged.

Crystal structure
```
data_TiBi8WCl2O16
_symmetry_space_group_name_H-M 'I m m 2'
_symmetry_Int_Tables_number 44
_cell_length_a 5.500
_cell_length_b 28.832
_cell_length_c 5.624
_cell_angle_alpha 90.00
_cell_angle_beta 90.00
_cell_angle_gamma 90.00
loop_
_symmetry_equiv_pos_as_xyz
'x,y,z'
'-x,-y,z'
'-x,y,z'
'x,-y,z'
'x+1/2,y+1/2,z+1/2'
'-x+1/2,-y+1/2,z+1/2'
'-x+1/2,y+1/2,z+1/2'
'x+1/2,-y+1/2,z+1/2'
loop_
_atom_site_label
_atom_site_type_symbol
_atom_site_fract_x
_atom_site_fract_y
_atom_site_fract_z
Ti1 Ti 0.000 0.000 0.000
Bi1 Bi 0.000 0.089 0.577
Bi2 Bi 0.000 0.180 0.005
Bi3 Bi 0.000 0.320 0.004
Bi4 Bi 0.000 0.409 0.561
W1 W 0.000 0.500 0.982
Cl1 Cl 0.000 0.249 0.489
O1 O 0.000 0.067 0.947
O2 O 0.000 0.432 0.947
O3 O 0.242 0.500 0.710
O4 O 0.245 0.357 0.744
O5 O 0.247 0.000 0.700
O6 O 0.248 0.142 0.747
```

Peak list (10 most intense, 2θ from 15° to 90°, by angle)
| two_theta | d (Å) | intensity |
| --- | --- | --- |
| 23.45 | 3.793 | 16 |
| 25.81 | 3.452 | 12 |
| 29.35 | 3.043 | 100 |
| 31.82 | 2.812 | 18 |
| 32.56 | 2.750 | 21 |
| 37.43 | 2.403 | 10 |
| 46.17 | 1.966 | 19 |
| 55.18 | 1.665 | 12 |
| 56.14 | 1.638 | 30 |
| 75.14 | 1.264 | 9 |